Computed XRD peak list of Cu2PtBr2 for a wavelength of 1.5418 Å, from a crystal structure in Alexandria, relaxed with PBE.

Top 8 peaks for 10 to 80 degrees two-theta, in order of rising 2θ:
index	d/Å	I_rel
1 0 3	2.893	100
1 1 2	2.363	66
1 0 5	2.308	54
1 1 6	1.780	27
2 0 0	1.757	29
2 1 3	1.502	28
2 1 5	1.398	22
2 0 8	1.294	29

Structure:
```
data_Cu2PtBr2
_cell_length_a 3.5131
_cell_length_b 3.5131
_cell_length_c 15.3064
_cell_angle_alpha 90.00
_cell_angle_beta 90.00
_cell_angle_gamma 90.00
_space_group_name_H-M_alt 'I 4/m m m'
_space_group_IT_number 139
_space_group_name_Hall '-I 4 2'
loop_
_atom_site_label
_atom_site_type_symbol
_atom_site_fract_x
_atom_site_fract_y
_atom_site_fract_z
_atom_site_occupancy
Cu1 Cu 0.0000 0.5000 0.2500 1
Pt1 Pt 0.0000 0.0000 0.0000 1
Br1 Br 0.0000 0.0000 0.3753 1
```